Diffraction record for SbOsSe. The powder diffractogram is calculated, not measured: it uses a crystal structure in the Materials Project, relaxed with GGA-PBE and Cu Kα (weighted mean of Kα1 and Kα2).

The 10 most intense peaks (5 to 70 degrees two-theta), in order of rising 2θ:
2θ = 21.6°, I = 100, hkl 1 1 -1; 2θ = 29.9°, I = 38, hkl 0 0 2; 2θ = 30.1°, I = 47, hkl 2 0 0; 2θ = 32.6°, I = 56, hkl 1 2 -1; 2θ = 33.3°, I = 33, hkl 2 1 0; 2θ = 41.4°, I = 32, hkl 0 2 2; 2θ = 44.0°, I = 32, hkl 2 2 -2; 2θ = 44.2°, I = 38, hkl 1 1 -3; 2θ = 44.5°, I = 53, hkl 3 1 -1; 2θ = 49.9°, I = 49, hkl 1 3 1

Atomic structure:
Lattice parameters (Å, degrees): 6.4542 6.3758 6.4983 90.00 112.91 90.00
Space group P2_1/c (No. 14)
Symmetry-distinct sites (fractional):
Sb1 0.1440 0.1354 0.3794 x4
Os1 0.2868 0.5046 0.3002 x4
Se1 0.3495 0.6345 0.6822 x4

=====

Diffraction record for SiSbOs2. The powder diffractogram is calculated, not measured: it uses a crystal structure in the Materials Project, relaxed with GGA-PBE and Cu Kα (weighted mean of Kα1 and Kα2).

The 8 most intense peaks (5 to 70 degrees two-theta), in order of rising 2θ:
2θ = 24.1°, I = 26, hkl 1 1 1; 2θ = 27.9°, I = 4, hkl 2 0 0; 2θ = 39.8°, I = 100, hkl 2 2 0; 2θ = 47.1°, I = 14, hkl 3 1 1; 2θ = 49.3°, I = 1, hkl 2 2 2; 2θ = 57.6°, I = 17, hkl 4 0 0; 2θ = 63.3°, I = 6, hkl 3 3 1; 2θ = 65.2°, I = 1, hkl 4 2 0

Atomic structure:
Lattice parameters (Å, degrees): 6.4006 6.4006 6.4006 90.00 90.00 90.00
Space group F-43m (No. 216)
Symmetry-distinct sites (fractional):
Si1 0.0000 0.0000 0.0000 x4
Sb1 0.2500 0.2500 0.2500 x4
Os1 0.0000 0.0000 0.5000 x4
Os2 0.2500 0.2500 0.7500 x4

=====

Diffraction record for SmSb12Os4. The powder diffractogram is calculated, not measured: it uses a crystal structure in the Materials Project, relaxed with GGA-PBE and Cu Kα (weighted mean of Kα1 and Kα2).

The 10 most intense peaks (5 to 70 degrees two-theta), in order of rising 2θ:
2θ = 18.8°, I = 28, hkl 2 0 0; 2θ = 26.8°, I = 31, hkl 2 2 0; 2θ = 30.0°, I = 100, hkl 3 0 1; 2θ = 35.7°, I = 48, hkl 3 1 2; 2θ = 42.9°, I = 51, hkl 4 2 0; 2θ = 47.3°, I = 62, hkl 4 2 2; 2θ = 49.3°, I = 28, hkl 4 3 1; 2θ = 57.0°, I = 14, hkl 5 3 0; 2θ = 62.3°, I = 17, hkl 6 0 2; 2θ = 67.4°, I = 18, hkl 6 1 3

Atomic structure:
Lattice parameters (Å, degrees): 9.4202 9.4202 9.4202 90.00 90.00 90.00
Space group Im-3 (No. 204)
Symmetry-distinct sites (fractional):
Sm1 0.0000 0.0000 0.0000 x2
Sb1 0.0000 0.3383 0.1566 x24
Os1 0.2500 0.2500 0.2500 x8

=====

Diffraction record for ScOs3. The powder diffractogram is calculated, not measured: it uses a crystal structure in the Materials Project, relaxed with GGA-PBE and Cu Kα (weighted mean of Kα1 and Kα2).

The 10 most intense peaks (5 to 70 degrees two-theta), in order of rising 2θ:
2θ = 22.1°, I = 6, hkl 0 0 2; 2θ = 25.2°, I = 17, hkl 1 0 1; 2θ = 32.2°, I = 5, hkl 1 1 0; 2θ = 39.4°, I = 100, hkl 1 1 2; 2θ = 40.7°, I = 5, hkl 1 0 3; 2θ = 45.1°, I = 17, hkl 0 0 4; 2θ = 46.2°, I = 32, hkl 2 0 0; 2θ = 53.4°, I = 5, hkl 2 1 1; 2θ = 66.5°, I = 22, hkl 2 0 4; 2θ = 67.4°, I = 10, hkl 2 2 0

Atomic structure:
Lattice parameters (Å, degrees): 3.9300 3.9300 8.0436 90.00 90.00 90.00
Space group I4/mmm (No. 139)
Symmetry-distinct sites (fractional):
Sc1 0.0000 0.0000 0.0000 x2
Os1 0.0000 0.0000 0.5000 x2
Os2 0.0000 0.5000 0.2500 x4

=====

Diffraction record for Sc3Os. The powder diffractogram is calculated, not measured: it uses a crystal structure in the Materials Project, relaxed with GGA-PBE and Cu Kα (weighted mean of Kα1 and Kα2).

The 10 most intense peaks (5 to 70 degrees two-theta), in order of rising 2θ:
2θ = 16.3°, I = 34, hkl 1 0 0; 2θ = 25.2°, I = 53, hkl 1 0 1; 2θ = 28.4°, I = 29, hkl 1 1 0; 2θ = 33.0°, I = 25, hkl 2 0 0; 2θ = 38.4°, I = 100, hkl 2 0 1; 2θ = 38.8°, I = 22, hkl 0 0 2; 2θ = 48.4°, I = 25, hkl 2 1 1; 2θ = 48.8°, I = 14, hkl 1 1 2; 2θ = 58.9°, I = 18, hkl 2 2 0; 2θ = 69.9°, I = 16, hkl 2 0 3

Atomic structure:
Lattice parameters (Å, degrees): 6.2757 6.2757 4.6469 90.00 90.00 120.00
Space group P6_3/mmc (No. 194)
Symmetry-distinct sites (fractional):
Sc1 0.1759 0.3517 0.2500 x6
Os1 0.3333 0.6667 0.7500 x2

=====

Diffraction record for ScOs2. The powder diffractogram is calculated, not measured: it uses a crystal structure in the Materials Project, relaxed with GGA-PBE and Cu Kα (weighted mean of Kα1 and Kα2).

The 10 most intense peaks (5 to 70 degrees two-theta), in order of rising 2θ:
2θ = 19.7°, I = 54, hkl 1 0 0; 2θ = 20.6°, I = 36, hkl 0 0 2; 2θ = 22.3°, I = 39, hkl 1 0 1; 2θ = 37.1°, I = 32, hkl 1 0 3; 2θ = 40.5°, I = 75, hkl 1 1 2; 2θ = 41.4°, I = 100, hkl 2 0 1; 2θ = 42.0°, I = 33, hkl 0 0 4; 2θ = 45.4°, I = 56, hkl 2 0 2; 2θ = 51.5°, I = 35, hkl 2 0 3; 2θ = 68.6°, I = 28, hkl 2 0 5

Atomic structure:
Lattice parameters (Å, degrees): 5.2061 5.2061 8.6127 90.00 90.00 120.00
Space group P6_3/mmc (No. 194)
Symmetry-distinct sites (fractional):
Sc1 0.3333 0.6667 0.0667 x4
Os1 0.0000 0.0000 0.0000 x2
Os2 0.1729 0.3457 0.7500 x6

=====

Diffraction record for ScOs3. The powder diffractogram is calculated, not measured: it uses a crystal structure in the Materials Project, relaxed with GGA-PBE and Cu Kα (weighted mean of Kα1 and Kα2).

The 7 most intense peaks (5 to 70 degrees two-theta), in order of rising 2θ:
2θ = 22.5°, I = 17, hkl 1 0 0; 2θ = 32.0°, I = 14, hkl 1 1 0; 2θ = 39.4°, I = 100, hkl 1 1 1; 2θ = 45.9°, I = 49, hkl 2 0 0; 2θ = 51.6°, I = 8, hkl 2 1 0; 2θ = 57.0°, I = 6, hkl 2 1 1; 2θ = 66.9°, I = 32, hkl 2 2 0

Atomic structure:
Lattice parameters (Å, degrees): 3.9573 3.9573 3.9573 90.00 90.00 90.00
Space group Pm-3m (No. 221)
Symmetry-distinct sites (fractional):
Sc1 0.0000 0.0000 0.0000 x1
Os1 0.0000 0.5000 0.5000 x3

=====

Diffraction record for Sc2ZnOs. The powder diffractogram is calculated, not measured: it uses a crystal structure in the Materials Project, relaxed with GGA-PBE and Cu Kα (weighted mean of Kα1 and Kα2).

The 8 most intense peaks (5 to 70 degrees two-theta), in order of rising 2θ:
2θ = 23.6°, I = 26, hkl 1 1 1; 2θ = 27.3°, I = 29, hkl 2 0 0; 2θ = 38.9°, I = 100, hkl 2 2 0; 2θ = 46.0°, I = 14, hkl 3 1 1; 2θ = 48.2°, I = 9, hkl 2 2 2; 2θ = 56.2°, I = 17, hkl 4 0 0; 2θ = 61.8°, I = 6, hkl 3 3 1; 2θ = 63.6°, I = 12, hkl 4 2 0

Atomic structure:
Lattice parameters (Å, degrees): 6.5426 6.5426 6.5426 90.00 90.00 90.00
Space group Fm-3m (No. 225)
Symmetry-distinct sites (fractional):
Sc1 0.2500 0.2500 0.2500 x8
Zn1 0.0000 0.0000 0.0000 x4
Os1 0.0000 0.0000 0.5000 x4

=====

Diffraction record for ZrScOs2. The powder diffractogram is calculated, not measured: it uses a crystal structure in the Materials Project, relaxed with GGA-PBE and Cu Kα (weighted mean of Kα1 and Kα2).

The 7 most intense peaks (5 to 70 degrees two-theta), in order of rising 2θ:
2θ = 23.7°, I = 2, hkl 1 1 1; 2θ = 27.4°, I = 26, hkl 2 0 0; 2θ = 39.1°, I = 100, hkl 2 2 0; 2θ = 46.2°, I = 1, hkl 3 1 1; 2θ = 48.4°, I = 8, hkl 2 2 2; 2θ = 56.5°, I = 17, hkl 4 0 0; 2θ = 63.9°, I = 11, hkl 4 2 0

Atomic structure:
Lattice parameters (Å, degrees): 6.5130 6.5130 6.5130 90.00 90.00 90.00
Space group Fm-3m (No. 225)
Symmetry-distinct sites (fractional):
Zr1 0.0000 0.0000 0.0000 x4
Sc1 0.0000 0.0000 0.5000 x4
Os1 0.2500 0.2500 0.2500 x8

=====

Diffraction record for OsSe2. The powder diffractogram is calculated, not measured: it uses a crystal structure in the Materials Project, relaxed with GGA-PBE and Cu Kα (weighted mean of Kα1 and Kα2).

The 10 most intense peaks (5 to 70 degrees two-theta), in order of rising 2θ:
2θ = 25.7°, I = 56, hkl 1 1 1; 2θ = 29.7°, I = 67, hkl 2 0 0; 2θ = 33.3°, I = 34, hkl 2 1 0; 2θ = 36.6°, I = 27, hkl 2 1 1; 2θ = 42.5°, I = 49, hkl 2 2 0; 2θ = 50.3°, I = 100, hkl 3 1 1; 2θ = 52.7°, I = 17, hkl 2 2 2; 2θ = 57.3°, I = 14, hkl 3 2 1; 2θ = 67.9°, I = 13, hkl 3 3 1; 2θ = 69.9°, I = 21, hkl 4 2 0

Atomic structure:
Lattice parameters (Å, degrees): 6.0153 6.0153 6.0153 90.00 90.00 90.00
Space group Pa-3 (No. 205)
Symmetry-distinct sites (fractional):
Os1 0.0000 0.0000 0.0000 x4
Se1 0.1224 0.6224 0.8776 x8

=====

Diffraction record for TaOsSe4. The powder diffractogram is calculated, not measured: it uses a crystal structure in the Materials Project, relaxed with GGA-PBE and Cu Kα (weighted mean of Kα1 and Kα2).

The 10 most intense peaks (5 to 70 degrees two-theta), in order of rising 2θ:
2θ = 12.9°, I = 24, hkl 0 0 2; 2θ = 25.9°, I = 10, hkl 0 0 4; 2θ = 32.2°, I = 31, hkl 1 0 0; 2θ = 32.9°, I = 100, hkl 1 0 1; 2θ = 39.3°, I = 23, hkl 0 0 6; 2θ = 46.5°, I = 49, hkl 1 0 5; 2θ = 51.7°, I = 16, hkl 1 0 6; 2θ = 57.4°, I = 39, hkl 1 1 0; 2θ = 64.0°, I = 5, hkl 1 1 4; 2θ = 67.8°, I = 12, hkl 2 0 1

Atomic structure:
Lattice parameters (Å, degrees): 3.2104 3.2104 13.7425 90.00 90.00 120.00
Space group P-6m2 (No. 187)
Symmetry-distinct sites (fractional):
Ta1 0.0000 0.0000 0.0000 x1
Os1 0.3333 0.6667 0.5000 x1
Se1 0.0000 0.0000 0.1775 x2
Se2 0.3333 0.6667 0.3303 x2

=====

Diffraction record for Si2Os. The powder diffractogram is calculated, not measured: it uses a crystal structure in the Materials Project, relaxed with GGA-PBE and Cu Kα (weighted mean of Kα1 and Kα2).

The 10 most intense peaks (5 to 70 degrees two-theta), in order of rising 2θ:
2θ = 20.5°, I = 100, hkl 2 0 -1; 2θ = 25.8°, I = 57, hkl 2 0 -2; 2θ = 27.1°, I = 40, hkl 0 0 2; 2θ = 32.4°, I = 42, hkl 2 0 1; 2θ = 32.5°, I = 80, hkl 1 1 -1; 2θ = 37.1°, I = 64, hkl 1 1 1; 2θ = 44.6°, I = 50, hkl 3 1 -2; 2θ = 46.2°, I = 47, hkl 1 1 2; 2θ = 46.9°, I = 50, hkl 3 1 0; 2θ = 48.0°, I = 40, hkl 1 1 -3

Atomic structure:
Lattice parameters (Å, degrees): 8.7072 3.0043 7.5156 90.00 119.02 90.00
Space group C2/m (No. 12)
Symmetry-distinct sites (fractional):
Si1 0.1050 0.0000 0.3951 x4
Si2 0.1412 0.5000 0.0273 x4
Os1 0.1553 0.5000 0.7024 x4